Starting from a PBE-relaxed structure, the PXRD pattern of Cs3P2PbS8 was computed for CuKα.
Peak positions follow from Bragg's law for the DFT cell and can differ from measured ones.

Main lines, in order of falling intensity (2θ = 10–90°):
Position (°2θ)	d_spacing	Rel. int.
22.6	3.932	100
24.8	3.597	94
33.8	2.654	67
42.3	2.136	36
30.0	2.976	34
50.8	1.799	24
43.6	2.077	20
14.2	6.231	18
38.3	2.348	18
56.2	1.636	17

Cell lengths 7.1944, 7.1944, 10.1397 Å; angles 90.00, 90.00, 120.00 degrees
Space group P-3m1 (No. 164)
One atom of each set of equivalent atoms:
Cs 0.0000 0.0000 0.0000 [1 per cell]
Cs 0.3333 0.6667 0.6720 [2 per cell]
P 0.3333 0.6667 0.2458 [2 per cell]
Pb 0.0000 0.0000 0.5000 [1 per cell]
S 0.1745 0.3490 0.3043 [6 per cell]
S 0.3333 0.6667 0.0472 [2 per cell]

Starting from a PBE-relaxed structure, the PXRD pattern of Cs3P2Pd4 was computed for CuKα.
Peak positions follow from Bragg's law for the DFT cell and can differ from measured ones.

Main lines, in order of falling intensity (2θ = 10–90°):
Position (°2θ)	d_spacing	Rel. int.
25.5	3.488	100
33.8	2.651	95
26.5	3.365	62
28.0	3.188	53
43.6	2.076	49
28.4	3.140	28
46.5	1.953	28
32.0	2.794	26
33.2	2.702	24
45.7	1.985	24

Cell lengths 13.7942, 3.9056, 10.2397 Å; angles 90.00, 96.57, 90.00 degrees
Space group C2/m (No. 12)
One atom of each set of equivalent atoms:
Cs 0.0000 0.0000 0.0000 [2 per cell]
Cs 0.1167 0.5000 0.3864 [4 per cell]
P 0.1897 0.5000 0.8251 [4 per cell]
Pd 0.1338 0.0000 0.7145 [4 per cell]
Pd 0.2261 0.5000 0.0766 [4 per cell]

Starting from a PBE-relaxed structure, the PXRD pattern of Cs2PPd3 was computed for CuKα.
Peak positions follow from Bragg's law for the DFT cell and can differ from measured ones.

Main lines, in order of falling intensity (2θ = 10–90°):
Position (°2θ)	d_spacing	Rel. int.
26.8	3.324	100
34.4	2.609	92
34.5	2.597	73
24.4	3.649	73
13.5	6.558	49
46.6	1.949	42
42.1	2.145	34
46.1	1.971	30
57.6	1.599	26
64.2	1.452	24

Cell lengths 4.2909, 26.2321, 6.6242 Å; angles 90.00, 90.00, 90.00 degrees
Space group Cmcm (No. 63)
One atom of each set of equivalent atoms:
Cs 0.0000 0.0236 0.2500 [4 per cell]
Cs 0.0000 0.2022 0.2500 [4 per cell]
P 0.0000 0.3453 0.2500 [4 per cell]
Pd 0.0000 0.1187 0.7500 [4 per cell]
Pd 0.0000 0.3921 0.5390 [8 per cell]

Starting from a PBE-relaxed structure, the PXRD pattern of CsP2Pd5 was computed for CuKα.
Peak positions follow from Bragg's law for the DFT cell and can differ from measured ones.

Main lines, in order of falling intensity (2θ = 10–90°):
Position (°2θ)	d_spacing	Rel. int.
33.4	2.682	100
34.9	2.574	70
30.2	2.956	43
54.8	1.676	31
45.2	2.006	28
42.1	2.147	20
44.6	2.030	20
27.8	3.212	18
47.9	1.901	16
55.3	1.660	16

Cell lengths 4.0129, 7.0596, 10.8196 Å; angles 90.00, 90.00, 90.00 degrees
Space group Immm (No. 71)
One atom of each set of equivalent atoms:
Cs 0.0000 0.0000 0.0000 [2 per cell]
P 0.0000 0.5000 0.2191 [4 per cell]
Pd 0.0000 0.1915 0.3267 [8 per cell]
Pd 0.0000 0.5000 0.0000 [2 per cell]

Starting from a PBE-relaxed structure, the PXRD pattern of Cs3PPd4 was computed for CuKα.
Peak positions follow from Bragg's law for the DFT cell and can differ from measured ones.

Main lines, in order of falling intensity (2θ = 10–90°):
Position (°2θ)	d_spacing	Rel. int.
26.7	3.342	100
29.5	3.031	80
29.3	3.047	75
26.3	3.382	63
34.8	2.578	61
29.9	2.986	54
31.8	2.817	51
32.7	2.742	49
51.3	1.780	46
30.2	2.958	42

Cell lengths 12.2985, 11.9451, 7.0360 Å; angles 90.00, 90.00, 90.00 degrees
Space group Pnma (No. 62)
One atom of each set of equivalent atoms:
Cs 0.1004 0.2500 0.2224 [4 per cell]
Cs 0.1592 0.5318 0.5984 [8 per cell]
P 0.1341 0.7500 0.0694 [4 per cell]
Pd 0.0010 0.7500 0.3040 [4 per cell]
Pd 0.0645 0.5716 0.0858 [8 per cell]
Pd 0.2140 0.2500 0.7423 [4 per cell]

Starting from a PBE-relaxed structure, the PXRD pattern of Cs2P2Pd2Pt was computed for CuKα.
Peak positions follow from Bragg's law for the DFT cell and can differ from measured ones.

Main lines, in order of falling intensity (2θ = 10–90°):
Position (°2θ)	d_spacing	Rel. int.
30.0	2.979	100
27.8	3.208	83
12.6	7.035	82
27.3	3.265	58
51.3	1.780	34
30.8	2.907	32
41.1	2.195	32
50.1	1.821	22
62.3	1.490	22
33.4	2.681	19

Cell lengths 13.6421, 4.3891, 8.9490 Å; angles 90.00, 128.18, 90.00 degrees
Space group C2/m (No. 12)
One atom of each set of equivalent atoms:
Cs 0.0623 0.0000 0.3383 [4 per cell]
P 0.2056 0.5000 0.1246 [4 per cell]
Pd 0.2460 0.5000 0.9010 [4 per cell]
Pt 0.0000 0.5000 0.0000 [2 per cell]

Starting from a PBE-relaxed structure, the PXRD pattern of CsPrP2S8 was computed for CuKα.
Peak positions follow from Bragg's law for the DFT cell and can differ from measured ones.

Main lines, in order of falling intensity (2θ = 10–90°):
Position (°2θ)	d_spacing	Rel. int.
24.1	3.698	100
33.6	2.670	52
16.2	5.459	41
28.3	3.152	35
47.6	1.909	29
46.2	1.965	26
39.5	2.283	24
50.1	1.820	22
37.5	2.399	22
32.8	2.729	19

Cell lengths 6.3032, 6.3032, 10.0524 Å; angles 90.00, 90.00, 120.00 degrees
Space group P-3 (No. 147)
One atom of each set of equivalent atoms:
Cs 0.0000 0.0000 0.0000 [1 per cell]
Pr 0.0000 0.0000 0.5000 [1 per cell]
P 0.3333 0.6667 0.7246 [2 per cell]
S 0.0023 0.3781 0.6668 [6 per cell]
S 0.3333 0.6667 0.9263 [2 per cell]